(1)
The following is a calculated powder diffractogram of CsCaCl3. It was derived from the GGA-PBE geometry in Alexandria, using Cu Ka.
Lines closer than 0.1° are merged.

The 10 most intense peaks (2θ from 10° to 90°), sorted by position:
Position (°2θ)	d/Å	Rel. int.
22.94	3.877	100
24.47	3.638	80
27.32	3.264	49
29.32	3.046	59
30.00	2.978	99
31.40	2.849	65
32.15	2.784	87
33.18	2.700	55
37.16	2.419	43
46.84	1.940	62

Cell: 9.7957 9.7957 7.2759 Å, 90.00 90.00 110.71°
Sites, in units of the cell vectors:
1 Cs 0.0888 0.4112 0.2500
2 Cs 0.4112 0.0888 0.7500
3 Cs 0.5888 0.9112 0.2500
4 Cs 0.9112 0.5888 0.7500
5 Ca 0.1168 0.8832 0.3207
6 Ca 0.3832 0.6168 0.8207
7 Ca 0.6168 0.3832 0.1793
8 Ca 0.8832 0.1168 0.6793
9 Cl 0.0500 0.9500 0.6986
10 Cl 0.1333 0.3667 0.7500
11 Cl 0.2373 0.7627 0.0265
12 Cl 0.2627 0.7373 0.5265
13 Cl 0.3667 0.1333 0.2500
14 Cl 0.4500 0.5500 0.1986
15 Cl 0.5500 0.4500 0.8014
16 Cl 0.6333 0.8667 0.7500
17 Cl 0.7373 0.2627 0.4735
18 Cl 0.7627 0.2373 0.9735
19 Cl 0.8667 0.6333 0.2500
20 Cl 0.9500 0.0500 0.3014

---

(2)
The following is a calculated powder diffractogram of Cs2CaCl3F. It was derived from the GGA-PBE geometry in Alexandria, using Cu Ka.
Lines closer than 0.1° are merged.

The 10 most intense peaks (2θ from 10° to 90°), sorted by position:
Position (°2θ)	d/Å	Rel. int.
21.75	4.086	55
24.66	3.611	56
25.43	3.502	100
29.65	3.013	44
32.20	2.780	49
32.34	2.768	83
39.45	2.284	38
39.97	2.256	32
40.97	2.203	29
52.22	1.752	28

Cell: 9.7210 9.7210 9.7210 Å, 153.17 146.77 43.21°
Sites, in units of the cell vectors:
1 Cs 0.1483 0.1483 0.0000
2 Cs 0.8517 0.8517 0.0000
3 Ca 0.5000 0.5000 0.0000
4 Cl 0.0000 0.5000 0.5000
5 Cl 0.3441 0.3441 0.0000
6 Cl 0.6559 0.6559 0.0000
7 F 0.5000 0.0000 0.5000

---

(3)
The following is a calculated powder diffractogram of Cs2CaCl2F2. It was derived from the GGA-PBE geometry in Alexandria, using Cu Ka.
Lines closer than 0.1° are merged.

The 10 most intense peaks (2θ from 10° to 90°), sorted by position:
Position (°2θ)	d/Å	Rel. int.
19.36	4.585	29
20.39	4.356	40
24.20	3.678	73
26.53	3.360	100
31.84	2.810	39
33.69	2.661	83
37.87	2.376	57
45.45	1.996	28
61.73	1.503	32
65.73	1.421	22

Cell: 9.3380 9.3380 9.3380 Å, 150.52 150.52 42.18°
Sites, in units of the cell vectors:
1 Cs 0.1340 0.1340 0.0000
2 Cs 0.8660 0.8660 0.0000
3 Ca 0.5000 0.5000 0.0000
4 Cl 0.3408 0.3408 0.0000
5 Cl 0.6592 0.6592 0.0000
6 F 0.0000 0.5000 0.5000
7 F 0.5000 0.0000 0.5000

---

(4)
The following is a calculated powder diffractogram of Cs2CaHgCl6. It was derived from the GGA-PBE geometry in Alexandria, using Cu Ka.
Lines closer than 0.1° are merged.

The 10 most intense peaks (2θ from 10° to 90°), sorted by position:
Position (°2θ)	d/Å	Rel. int.
14.12	6.272	26
23.16	3.841	100
27.22	3.276	18
32.98	2.716	58
40.69	2.218	47
47.33	1.920	40
53.33	1.718	22
64.15	1.452	25
78.80	1.215	17
88.10	1.109	14

Cell: 7.6819 7.6819 7.6819 Å, 60.00 60.00 60.00°
Sites, in units of the cell vectors:
1 Cs 0.2500 0.2500 0.2500
2 Cs 0.7500 0.7500 0.7500
3 Ca 0.0000 0.0000 0.0000
4 Hg 0.5000 0.5000 0.5000
5 Cl 0.2513 0.2513 0.7487
6 Cl 0.2513 0.7487 0.2513
7 Cl 0.2513 0.7487 0.7487
8 Cl 0.7487 0.2513 0.2513
9 Cl 0.7487 0.2513 0.7487
10 Cl 0.7487 0.7487 0.2513

---

(5)
The following is a calculated powder diffractogram of CsCaIn2Cl8. It was derived from the GGA-PBE geometry in Alexandria, using Cu Ka.
Lines closer than 0.1° are merged.

The 10 most intense peaks (2θ from 10° to 90°), sorted by position:
Position (°2θ)	d/Å	Rel. int.
19.15	4.636	100
25.73	3.463	52
27.33	3.263	37
27.47	3.247	25
28.61	3.120	30
32.27	2.774	35
41.72	2.165	30
45.36	1.999	35
45.54	1.992	38
53.84	1.703	23

Cell: 10.5289 10.5289 10.5289 Å, 38.40 38.40 38.40°
Sites, in units of the cell vectors:
1 Cs 0.0000 0.0000 0.0000
2 Ca 0.5000 0.5000 0.5000
3 In 0.2410 0.2410 0.2410
4 In 0.7590 0.7590 0.7590
5 Cl 0.1318 0.7848 0.4197
6 Cl 0.2152 0.5803 0.8682
7 Cl 0.3244 0.3244 0.3244
8 Cl 0.4197 0.1318 0.7848
9 Cl 0.5803 0.8682 0.2152
10 Cl 0.6756 0.6756 0.6756
11 Cl 0.7848 0.4197 0.1318
12 Cl 0.8682 0.2152 0.5803

---

(6)
The following is a calculated powder diffractogram of Cs2CaNCl6. It was derived from the GGA-PBE geometry in Alexandria, using Cu Ka.
Lines closer than 0.1° are merged.

The 10 most intense peaks (2θ from 10° to 90°), sorted by position:
Position (°2θ)	d/Å	Rel. int.
22.84	3.894	74
25.24	3.529	29
28.68	3.113	41
29.09	3.070	100
35.99	2.495	44
43.06	2.101	23
46.65	1.947	36
47.45	1.916	15
60.30	1.535	15
60.53	1.530	18

Cell: 7.9785 7.9785 7.9785 Å, 127.50 127.50 77.43°
Sites, in units of the cell vectors:
1 Cs 0.2500 0.7500 0.5000
2 Cs 0.7500 0.2500 0.5000
3 Ca 0.0000 0.0000 0.0000
4 N 0.5000 0.5000 0.0000
5 Cl 0.2121 0.2121 0.0000
6 Cl 0.2814 0.2814 0.5628
7 Cl 0.2814 0.7186 0.0000
8 Cl 0.7186 0.2814 0.0000
9 Cl 0.7186 0.7186 0.4372
10 Cl 0.7879 0.7879 0.0000

---

(7)
The following is a calculated powder diffractogram of CsCaNiCl6. It was derived from the GGA-PBE geometry in Alexandria, using Cu Ka.
Lines closer than 0.1° are merged.

The 10 most intense peaks (2θ from 10° to 90°), sorted by position:
Position (°2θ)	d/Å	Rel. int.
15.04	5.892	26
18.58	4.774	100
19.37	4.584	94
19.64	4.521	92
27.17	3.282	30
29.34	3.045	41
32.06	2.791	27
33.96	2.640	56
36.41	2.467	76
46.23	1.964	33

Cell: 6.5795 6.5795 7.6958 Å, 91.50 91.50 116.33°
Sites, in units of the cell vectors:
1 Cs 0.0000 0.0000 0.0000
2 Ca 0.3284 0.6716 0.5000
3 Ni 0.6766 0.3234 0.5000
4 Cl 0.3969 0.3288 0.3313
5 Cl 0.4112 0.0365 0.7072
6 Cl 0.6604 0.0294 0.3339
7 Cl 0.6712 0.6031 0.6687
8 Cl 0.9635 0.5888 0.2928
9 Cl 0.9706 0.3396 0.6661

---

(8)
The following is a calculated powder diffractogram of CsCaPbCl2. It was derived from the GGA-PBE geometry in Alexandria, using Cu Ka.
Lines closer than 0.1° are merged.

The 10 most intense peaks (2θ from 10° to 90°), sorted by position:
Position (°2θ)	d/Å	Rel. int.
14.55	6.086	100
20.64	4.304	49
24.71	3.603	26
27.08	3.292	29
29.35	3.043	47
30.88	2.896	35
32.91	2.722	29
34.29	2.615	29
40.36	2.235	39
43.12	2.098	28

Cell: 6.0865 6.0865 6.5850 Å, 90.00 90.00 90.00°
Sites, in units of the cell vectors:
1 Cs 0.0000 0.0000 0.0000
2 Ca 0.5000 0.5000 0.5000
3 Pb 0.0000 0.0000 0.5000
4 Cl 0.0000 0.5000 0.0000
5 Cl 0.5000 0.0000 0.0000